# Na3Tc2O8
Simulated X-ray powder pattern, Cu Kα, 1.54184 Å. Input: a GGA-PBE-relaxed structure.
Kinematic intensities with the Lorentz-polarization factor, no thermal factor.

Main lines, low angle first (2θ from 5° to 70°):
hkl 1 0 1, 2θ = 17.8°, d 4.978, intensity 89; hkl 1 0 4, 2θ = 25.5°, d 3.490, intensity 62; hkl 0 1 5, 2θ = 29.2°, d 3.055, intensity 72; hkl 1 1 0, 2θ = 30.0°, d 2.979, intensity 100; hkl 1 1 3, 2θ = 33.3°, d 2.694, intensity 14; hkl 2 0 5, 2θ = 42.4°, d 2.133, intensity 37; hkl 2 1 4, 2θ = 50.6°, d 1.803, intensity 18; hkl 1 0 10, 2θ = 51.3°, d 1.779, intensity 25; hkl 1 2 5, 2θ = 52.8°, d 1.734, intensity 26; hkl 3 0 0, 2θ = 53.3°, d 1.720, intensity 39; hkl 2 2 0, 2θ = 62.3°, d 1.489, intensity 22; hkl 2 1 10, 2θ = 69.1°, d 1.359, intensity 19

Structure:
abc: 5.9575 5.9575 18.9581
angles: 90.00 90.00 120.00
Space group R-3m (No. 166, hexagonal axes)
Inequivalent atoms, fractional coordinates:
Na  0.0000  0.0000  0.0000 [3 per cell]
Na  0.0000  0.0000  0.1833 [6 per cell]
Tc  0.0000  0.0000  0.3978 [6 per cell]
O  0.0000  0.0000  0.3053 [6 per cell]
O  0.0092  0.5046  0.2383 [18 per cell]